(1)
For Ho4Ge9Ir13, a PBE-relaxed structure gives the calculated powder diffractogram in this record (CuKα).
Kinematic intensities with the Lorentz-polarization factor, no thermal factor.

Main lines, by angle (2θ from 10° to 80°):
2.524 Å, 35.57 deg, intensity 1000, hkl 1 0 6; 2.242 Å, 40.22 deg, intensity 207, hkl 0 5 1; 1.997 Å, 45.41 deg, intensity 242, hkl 2 0 0; 1.955 Å, 46.44 deg, intensity 202, hkl 0 5 5; 1.878 Å, 48.47 deg, intensity 126, hkl 0 3 9; 1.232 Å, 77.45 deg, intensity 119, hkl 3 0 6

Structural model:
```
data_Ho4Ge9Ir13
_symmetry_space_group_name_H-M 'P m m n'
_symmetry_Int_Tables_number 59
_cell_length_a 3.995
_cell_length_b 11.299
_cell_length_c 19.500
_cell_angle_alpha 90.00
_cell_angle_beta 90.00
_cell_angle_gamma 90.00
loop_
_symmetry_equiv_pos_as_xyz
'x,y,z'
'-x,-y,-z'
'-x+1/2,-y+1/2,z'
'x+1/2,y+1/2,-z'
'x+1/2,-y,-z'
'-x+1/2,y,z'
'-x,y+1/2,-z'
'x,-y+1/2,z'
loop_
_atom_site_label
_atom_site_fract_x
_atom_site_fract_y
_atom_site_fract_z
_atom_site_occupancy
Ho1 0.250 0.059 0.207 1
Ho2 0.250 0.250 0.023 1
Ho3 0.250 0.750 0.519 1
Ge1 0.250 0.071 0.415 1
Ge2 0.250 0.120 0.731 1
Ge3 0.250 0.250 0.601 1
Ge4 0.250 0.564 0.919 1
Ge5 0.250 0.750 0.100 1
Ge6 0.250 0.750 0.735 1
Ir1 0.250 0.060 0.540 1
Ir2 0.250 0.126 0.858 1
Ir3 0.250 0.250 0.342 1
Ir4 0.250 0.550 0.046 1
Ir5 0.250 0.567 0.665 1
Ir6 0.250 0.623 0.354 1
Ir7 0.250 0.750 0.227 1
Ir8 0.250 0.750 0.859 1
```


(2)
For Ho3Ge13Ir4, a PBE-relaxed structure gives the calculated powder diffractogram in this record (CuKα).
Kinematic intensities with the Lorentz-polarization factor, no thermal factor.

Main lines, by angle (2θ from 10° to 80°):
4.510 Å, 19.68 deg, intensity 446, hkl 2 0 0; 2.604 Å, 34.44 deg, intensity 573, hkl 2 2 2; 2.502 Å, 35.89 deg, intensity 1000, hkl 3 2 0; 2.411 Å, 37.30 deg, intensity 406, hkl 3 2 1; 2.255 Å, 39.98 deg, intensity 549, hkl 4 0 0; 1.841 Å, 49.50 deg, intensity 514, hkl 4 2 2

Structural model:
```
data_Ho3Ge13Ir4
_symmetry_space_group_name_H-M 'P m -3 n'
_symmetry_Int_Tables_number 223
_symmetry_space_group_name_Hall '-P 4n 2 3'
_cell_length_a 9.021
_cell_length_b 9.021
_cell_length_c 9.021
_cell_angle_alpha 90.00
_cell_angle_beta 90.00
_cell_angle_gamma 90.00
loop_
_atom_site_label
_atom_site_fract_x
_atom_site_fract_y
_atom_site_fract_z
_atom_site_occupancy
Ho1 0.000 0.250 0.500 1
Ge1 0.000 0.000 0.000 1
Ge2 0.000 0.308 0.145 1
Ir1 0.250 0.250 0.250 1
```


(3)
For Ho5Ge10Ir4, a PBE-relaxed structure gives the calculated powder diffractogram in this record (CuKα).
Kinematic intensities with the Lorentz-polarization factor, no thermal factor.

Main lines, by angle (2θ from 10° to 80°):
2.772 Å, 32.29 deg, intensity 270, hkl 3 2 1; 2.601 Å, 34.48 deg, intensity 1000, hkl 4 0 1; 2.552 Å, 35.16 deg, intensity 606, hkl 5 1 0; 2.503 Å, 35.88 deg, intensity 697, hkl 3 3 1; 2.161 Å, 41.80 deg, intensity 543, hkl 0 0 2; 2.034 Å, 44.56 deg, intensity 311, hkl 5 4 0

Structural model:
```
data_Ho5Ge10Ir4
_symmetry_space_group_name_H-M 'P 4/m b m'
_symmetry_Int_Tables_number 127
_symmetry_space_group_name_Hall '-P 4 2ab'
_cell_length_a 13.027
_cell_length_b 13.027
_cell_length_c 4.322
_cell_angle_alpha 90.00
_cell_angle_beta 90.00
_cell_angle_gamma 90.00
loop_
_atom_site_label
_atom_site_fract_x
_atom_site_fract_y
_atom_site_fract_z
_atom_site_occupancy
Ho1 0.000 0.000 0.000 1
Ho2 0.115 0.385 0.500 1
Ho3 0.173 0.673 0.500 1
Ge1 0.007 0.844 0.500 1
Ge2 0.067 0.567 0.000 1
Ge3 0.164 0.200 0.000 1
Ir1 0.019 0.754 0.000 1
```


(4)
For Ho4Ge6Ir7, a PBE-relaxed structure gives the calculated powder diffractogram in this record (CuKα).
Kinematic intensities with the Lorentz-polarization factor, no thermal factor.

Main lines, by angle (2θ from 10° to 80°):
3.421 Å, 26.05 deg, intensity 242, hkl 2 1 1; 2.419 Å, 37.17 deg, intensity 1000, hkl 2 2 2; 2.239 Å, 40.27 deg, intensity 403, hkl 3 2 1; 2.095 Å, 43.19 deg, intensity 701, hkl 4 0 0; 1.481 Å, 62.73 deg, intensity 401, hkl 4 4 0; 1.263 Å, 75.22 deg, intensity 304, hkl 6 2 2

Structural model:
```
data_Ho4Ge6Ir7
_symmetry_space_group_name_H-M 'I m -3 m'
_symmetry_Int_Tables_number 229
_symmetry_space_group_name_Hall '-I 4 2 3'
_cell_length_a 8.379
_cell_length_b 8.379
_cell_length_c 8.379
_cell_angle_alpha 90.00
_cell_angle_beta 90.00
_cell_angle_gamma 90.00
loop_
_atom_site_label
_atom_site_fract_x
_atom_site_fract_y
_atom_site_fract_z
_atom_site_occupancy
Ho1 0.250 0.250 0.250 1
Ge1 0.000 0.000 0.317 1
Ir1 0.000 0.000 0.000 1
Ir2 0.000 0.250 0.500 1
```


(5)
For LiHoGe, a PBE-relaxed structure gives the calculated powder diffractogram in this record (CuKα).
Kinematic intensities with the Lorentz-polarization factor, no thermal factor.

Main lines, by angle (2θ from 10° to 80°):
4.238 Å, 20.96 deg, intensity 396, hkl 0 0 1; 3.499 Å, 25.46 deg, intensity 333, hkl 1 1 0; 3.030 Å, 29.48 deg, intensity 416, hkl 2 0 0; 2.698 Å, 33.20 deg, intensity 716, hkl 1 1 1; 2.465 Å, 36.45 deg, intensity 1000, hkl 2 0 1; 1.562 Å, 59.13 deg, intensity 294, hkl 3 1 1

Structural model:
```
data_LiHoGe
_symmetry_space_group_name_H-M 'P -6 2 m'
_symmetry_Int_Tables_number 189
_symmetry_space_group_name_Hall 'P -6 -2'
_cell_length_a 6.9981
_cell_length_b 6.9981
_cell_length_c 4.2385
_cell_angle_alpha 90.00
_cell_angle_beta 90.00
_cell_angle_gamma 120.00
loop_
_atom_site_label
_atom_site_fract_x
_atom_site_fract_y
_atom_site_fract_z
_atom_site_occupancy
Li1 0.0000 0.2316 0.0000 1
Ho1 0.0000 0.5727 0.5000 1
Ge1 0.0000 0.0000 0.5000 1
Ge2 0.3333 0.6667 0.0000 1
```


(6)
For LiHoGe, a PBE-relaxed structure gives the calculated powder diffractogram in this record (CuKα).
Kinematic intensities with the Lorentz-polarization factor, no thermal factor.

Main lines, by angle (2θ from 10° to 80°):
3.793 Å, 23.45 deg, intensity 492, hkl 1 0 0; 2.592 Å, 34.61 deg, intensity 1000, hkl 1 0 2; 2.190 Å, 41.22 deg, intensity 448, hkl 1 1 0; 1.673 Å, 54.88 deg, intensity 268, hkl 2 0 2; 1.379 Å, 67.99 deg, intensity 191, hkl 1 1 4; 1.329 Å, 70.89 deg, intensity 261, hkl 2 1 2

Structural model:
```
data_LiHoGe
_symmetry_space_group_name_H-M 'P 63 m c'
_symmetry_Int_Tables_number 186
_symmetry_space_group_name_Hall 'P 6c -2c'
_cell_length_a 4.3803
_cell_length_b 4.3803
_cell_length_c 7.0979
_cell_angle_alpha 90.00
_cell_angle_beta 90.00
_cell_angle_gamma 120.00
loop_
_atom_site_label
_atom_site_fract_x
_atom_site_fract_y
_atom_site_fract_z
_atom_site_occupancy
Li1 0.3333 0.6667 0.0000 1
Ho1 0.0000 0.0000 0.2264 1
Ge1 0.3333 0.6667 0.4571 1
```


(7)
For Ho2LuGe4Pd4, a PBE-relaxed structure gives the calculated powder diffractogram in this record (CuKα).
Kinematic intensities with the Lorentz-polarization factor, no thermal factor.

Main lines, by angle (2θ from 10° to 80°):
2.649 Å, 33.84 deg, intensity 1000, hkl 1 2 1; 2.596 Å, 34.54 deg, intensity 303, hkl 0 1 5; 2.502 Å, 35.89 deg, intensity 850, hkl 1 1 4; 2.105 Å, 42.97 deg, intensity 336, hkl 0 3 3; 2.083 Å, 43.44 deg, intensity 384, hkl 2 0 0; 1.251 Å, 76.06 deg, intensity 235, hkl 1 5 4

Structural model:
```
data_Ho2LuGe4Pd4
_symmetry_space_group_name_H-M 'I m m m'
_symmetry_Int_Tables_number 71
_symmetry_space_group_name_Hall '-I 2 2'
_cell_length_a 4.166
_cell_length_b 7.080
_cell_length_c 13.954
_cell_angle_alpha 90.00
_cell_angle_beta 90.00
_cell_angle_gamma 90.00
loop_
_atom_site_label
_atom_site_fract_x
_atom_site_fract_y
_atom_site_fract_z
_atom_site_occupancy
Ho1 0.000 0.000 0.126 1
Lu1 0.000 0.500 0.000 1
Ge1 0.000 0.311 0.500 1
Ge2 0.000 0.500 0.218 1
Pd1 0.000 0.200 0.326 1
```


(8)
For HoLuGe2Pt, a PBE-relaxed structure gives the calculated powder diffractogram in this record (CuKα).
Kinematic intensities with the Lorentz-polarization factor, no thermal factor.

Main lines, by angle (2θ from 10° to 80°):
2.726 Å, 32.86 deg, intensity 1000, hkl 1 1 2; 2.668 Å, 33.59 deg, intensity 735, hkl 1 1 -3; 2.648 Å, 33.85 deg, intensity 642, hkl 3 1 -2; 2.425 Å, 37.07 deg, intensity 495, hkl 3 1 -3; 2.215 Å, 40.73 deg, intensity 920, hkl 3 1 1; 2.163 Å, 41.75 deg, intensity 877, hkl 0 2 0

Structural model:
```
data_HoLuGe2Pt
_symmetry_space_group_name_H-M 'C 1 2/m 1'
_symmetry_Int_Tables_number 12
_cell_length_a 10.340
_cell_length_b 4.326
_cell_length_c 10.265
_cell_angle_alpha 90.00
_cell_angle_beta 117.01
_cell_angle_gamma 90.00
loop_
_symmetry_equiv_pos_as_xyz
'x,y,z'
'-x,-y,-z'
'-x,y,-z'
'x,-y,z'
'x+1/2,y+1/2,z'
'-x+1/2,-y+1/2,-z'
'-x+1/2,y+1/2,-z'
'x+1/2,-y+1/2,z'
loop_
_atom_site_label
_atom_site_fract_x
_atom_site_fract_y
_atom_site_fract_z
_atom_site_occupancy
Ho1 0.188 0.000 0.113 1
Lu1 0.010 0.000 0.329 1
Ge1 0.026 0.500 0.886 1
Ge2 0.142 0.500 0.553 1
Pt1 0.229 0.500 0.336 1
```


(9)
For Ho2MgGe4O12, a PBE-relaxed structure gives the calculated powder diffractogram in this record (CuKα).
Kinematic intensities with the Lorentz-polarization factor, no thermal factor.

Main lines, by angle (2θ from 10° to 80°):
7.231 Å, 12.24 deg, intensity 704, hkl 0 0 1; 4.083 Å, 21.77 deg, intensity 528, hkl 1 0 -1; 3.560 Å, 25.01 deg, intensity 351, hkl -1 1 1; 3.071 Å, 29.07 deg, intensity 1000, hkl 1 2 1; 2.949 Å, 30.31 deg, intensity 436, hkl 1 0 -2; 2.834 Å, 31.57 deg, intensity 634, hkl 1 0 2

Structural model:
```
data_Ho2MgGe4O12
_symmetry_space_group_name_H-M 'P -1'
_symmetry_Int_Tables_number 2
_cell_length_a 4.887
_cell_length_b 7.050
_cell_length_c 7.874
_cell_angle_alpha 66.81
_cell_angle_beta 88.23
_cell_angle_gamma 80.02
loop_
_symmetry_equiv_pos_as_xyz
'x,y,z'
'-x,-y,-z'
loop_
_atom_site_label
_atom_site_fract_x
_atom_site_fract_y
_atom_site_fract_z
_atom_site_occupancy
Ho1 0.053 0.267 0.459 1
Mg1 0.000 0.500 0.000 1
Ge1 0.418 0.868 0.793 1
Ge2 0.463 0.660 0.221 1
O1 0.227 0.568 0.392 1
O2 0.230 0.923 0.590 1
O3 0.248 0.515 0.791 1
O4 0.251 0.270 0.196 1
O5 0.252 0.763 0.009 1
O6 0.394 0.145 0.738 1
```


(10)
For HoGeNO, a PBE-relaxed structure gives the calculated powder diffractogram in this record (CuKα).
Kinematic intensities with the Lorentz-polarization factor, no thermal factor.

Main lines, by angle (2θ from 10° to 80°):
3.436 Å, 25.93 deg, intensity 219, hkl 1 1 1; 2.768 Å, 32.35 deg, intensity 1000, hkl 1 2 1; 2.725 Å, 32.87 deg, intensity 211, hkl 2 0 0; 2.644 Å, 33.90 deg, intensity 216, hkl 0 0 2; 1.898 Å, 47.94 deg, intensity 190, hkl 2 0 2; 1.549 Å, 59.68 deg, intensity 191, hkl 1 2 3

Structural model:
```
data_HoGeNO
_symmetry_space_group_name_H-M 'P c a 21'
_symmetry_Int_Tables_number 29
_cell_length_a 5.449
_cell_length_b 8.089
_cell_length_c 5.289
_cell_angle_alpha 90.00
_cell_angle_beta 90.00
_cell_angle_gamma 90.00
loop_
_symmetry_equiv_pos_as_xyz
'x,y,z'
'-x,-y,z+1/2'
'-x+1/2,y,z+1/2'
'x+1/2,-y,z'
loop_
_atom_site_label
_atom_site_fract_x
_atom_site_fract_y
_atom_site_fract_z
_atom_site_occupancy
Ho1 0.012 0.136 0.000 1
Ge1 0.043 0.613 0.996 1
N1 0.109 0.591 0.617 1
O1 0.247 0.990 0.248 1
```